Entry 1:
This entry pairs a crystal structure of Pr5NdDy2 with its simulated powder X-ray diffraction pattern. Radiation: Cu Kα, 1.54184 Å. Structure: a structure optimized by DFT (PBE).
No peak broadening, texture or thermal motion is included.

abc: 9.8994 9.8994 6.6403
angles: 98.08 98.08 61.74
Fractional positions:
1 Pr 0.0564 0.9436 0.7500
2 Pr 0.1150 0.2895 0.0194
3 Pr 0.2895 0.1150 0.5194
4 Pr 0.3101 0.5005 0.8577
5 Pr 0.4995 0.6899 0.6423
6 Pr 0.5005 0.3101 0.3577
7 Pr 0.6899 0.4995 0.1423
8 Pr 0.7105 0.8850 0.4806
9 Pr 0.8850 0.7105 0.9806
10 Pr 0.9436 0.0564 0.2500
11 Nd 0.0000 0.5000 0.5000
12 Nd 0.5000 0.0000 0.0000
13 Dy 0.1763 0.6660 0.3677
14 Dy 0.3340 0.8237 0.1323
15 Dy 0.6660 0.1763 0.8677
16 Dy 0.8237 0.3340 0.6323

Peak list (10 most intense, 2θ from 10° to 90°, sorted by position)
2θ/deg	Rel. int.
28.0	29
29.2	33
30.6	100
30.9	37
31.8	9
36.7	9
38.7	10
41.2	9
42.7	9
54.8	15

Entry 2:
This entry pairs a crystal structure of PrNd14Dy with its simulated powder X-ray diffraction pattern. Radiation: Cu Kα, 1.54184 Å. Structure: a structure optimized by DFT (PBE).
No peak broadening, texture or thermal motion is included.

abc: 10.3926 7.3479 7.3479
angles: 90.00 90.00 90.00
Fractional positions:
1 Pr 0.0000 0.0000 0.0000
2 Nd 0.0000 0.0006 0.4999
3 Nd 0.0000 0.4999 0.0006
4 Nd 0.2491 0.2514 0.7490
5 Nd 0.2491 0.2515 0.2515
6 Nd 0.2491 0.7490 0.2514
7 Nd 0.2490 0.7489 0.7489
8 Nd 0.5000 0.0004 0.0004
9 Nd 0.5000 0.0000 0.5004
10 Nd 0.5000 0.5004 0.0000
11 Nd 0.5000 0.5000 0.5000
12 Nd 0.7509 0.2514 0.7490
13 Nd 0.7509 0.2515 0.2515
14 Nd 0.7509 0.7490 0.2514
15 Nd 0.7510 0.7489 0.7489
16 Dy 0.0000 0.5005 0.5005

Peak list (8 most intense, 2θ from 10° to 90°, sorted by position)
2θ/deg	Rel. int.
29.8	100
34.5	51
49.6	36
59.0	43
61.9	12
72.8	6
80.6	18
83.1	16

Entry 3:
This entry pairs a crystal structure of PrNd3Dy12 with its simulated powder X-ray diffraction pattern. Radiation: Cu Kα, 1.54184 Å. Structure: a structure optimized by DFT (PBE).
No peak broadening, texture or thermal motion is included.

abc: 5.0589 5.0589 20.2408
angles: 90.00 90.00 90.00
Fractional positions:
1 Pr 0.0000 0.0000 0.0000
2 Nd 0.0000 0.0000 0.2502
3 Nd 0.0000 0.0000 0.5000
4 Nd 0.0000 0.0000 0.7498
5 Dy 0.0000 0.5000 0.1254
6 Dy 0.0000 0.5000 0.3752
7 Dy 0.0000 0.5000 0.6248
8 Dy 0.0000 0.5000 0.8746
9 Dy 0.5000 0.0000 0.1254
10 Dy 0.5000 0.0000 0.3752
11 Dy 0.5000 0.0000 0.6248
12 Dy 0.5000 0.0000 0.8746
13 Dy 0.5000 0.5000 0.0000
14 Dy 0.5000 0.5000 0.2503
15 Dy 0.5000 0.5000 0.5000
16 Dy 0.5000 0.5000 0.7497

Peak list (8 most intense, 2θ from 10° to 90°, sorted by position)
2θ/deg	Rel. int.
30.6	100
35.5	51
51.1	36
60.7	43
63.7	12
75.1	6
83.2	18
85.9	17

Entry 4:
This entry pairs a crystal structure of Pr3Nd4Dy8 with its simulated powder X-ray diffraction pattern. Radiation: Cu Kα, 1.54184 Å. Structure: a structure optimized by DFT (PBE).
No peak broadening, texture or thermal motion is included.

abc: 9.3695 9.3695 6.8362
angles: 111.38 111.38 87.34
Fractional positions:
1 Pr 0.0000 0.0000 0.0000
2 Pr 0.0000 0.5000 0.5000
3 Pr 0.5000 0.0000 0.5000
4 Nd 0.0000 0.5000 0.0000
5 Nd 0.5000 0.0000 0.0000
6 Nd 0.5000 0.5000 0.0000
7 Nd 0.5000 0.5000 0.5000
8 Dy 0.1403 0.8597 0.5000
9 Dy 0.2321 0.2321 0.4945
10 Dy 0.2327 0.2327 0.9724
11 Dy 0.2432 0.7568 0.0000
12 Dy 0.7568 0.2432 0.0000
13 Dy 0.7673 0.7673 0.0276
14 Dy 0.7679 0.7679 0.5055
15 Dy 0.8597 0.1403 0.5000

Peak list (10 most intense, 2θ from 10° to 90°, sorted by position)
2θ/deg	Rel. int.
27.6	34
30.3	100
30.5	47
31.6	29
41.4	45
41.6	21
54.1	18
61.8	12
63.0	13
65.8	20

Entry 5:
This entry pairs a crystal structure of Pr3Nd3Dy2 with its simulated powder X-ray diffraction pattern. Radiation: Cu Kα, 1.54184 Å. Structure: a structure optimized by DFT (PBE).
No peak broadening, texture or thermal motion is included.

abc: 5.9164 14.8169 6.3855
angles: 90.00 90.07 90.00
Fractional positions:
1 Pr 0.2500 0.0001 0.1684
2 Pr 0.2499 0.2500 0.1731
3 Pr 0.2500 0.4999 0.1684
4 Pr 0.7500 0.9999 0.8316
5 Pr 0.7500 0.5001 0.8316
6 Pr 0.7501 0.7500 0.8269
7 Nd 0.2500 0.1245 0.6680
8 Nd 0.2500 0.3755 0.6680
9 Nd 0.2500 0.7500 0.1622
10 Nd 0.7500 0.2500 0.8378
11 Nd 0.7500 0.6245 0.3320
12 Nd 0.7500 0.8755 0.3320
13 Dy 0.2500 0.6260 0.6647
14 Dy 0.2500 0.8740 0.6647
15 Dy 0.7500 0.1260 0.3353
16 Dy 0.7500 0.3740 0.3353

Peak list (10 most intense, 2θ from 10° to 90°, sorted by position)
2θ/deg	Rel. int.
27.8	19
27.9	9
30.2	30
31.8	100
31.9	20
41.6	16
49.4	16
54.7	22
59.0	18
59.8	13

Entry 6:
This entry pairs a crystal structure of Pr2Nd6Dy5 with its simulated powder X-ray diffraction pattern. Radiation: Cu Kα, 1.54184 Å. Structure: a structure optimized by DFT (PBE).
No peak broadening, texture or thermal motion is included.

abc: 11.8886 20.6317 3.6616
angles: 90.00 90.00 90.00
Fractional positions:
1 Pr 0.1679 0.2155 0.0000
2 Pr 0.3321 0.7155 0.0000
3 Pr 0.6679 0.2845 0.0000
4 Pr 0.8321 0.7845 0.0000
5 Nd 0.0592 0.9228 0.0000
6 Nd 0.0793 0.6348 0.0000
7 Nd 0.1780 0.3728 0.5000
8 Nd 0.3220 0.8728 0.5000
9 Nd 0.4207 0.1348 0.0000
10 Nd 0.4408 0.4228 0.0000
11 Nd 0.5592 0.5772 0.0000
12 Nd 0.5793 0.8652 0.0000
13 Nd 0.6780 0.1272 0.5000
14 Nd 0.8220 0.6272 0.5000
15 Nd 0.9207 0.3652 0.0000
16 Nd 0.9408 0.0772 0.0000
17 Dy 0.0000 0.5000 0.5000
18 Dy 0.0923 0.7776 0.5000
19 Dy 0.1995 0.0552 0.5000
20 Dy 0.3005 0.5552 0.5000
21 Dy 0.4077 0.2776 0.5000
22 Dy 0.5000 0.0000 0.5000
23 Dy 0.5923 0.7224 0.5000
24 Dy 0.6995 0.4448 0.5000
25 Dy 0.8005 0.9448 0.5000
26 Dy 0.9077 0.2224 0.5000

Peak list (10 most intense, 2θ from 10° to 90°, sorted by position)
2θ/deg	Rel. int.
30.4	56
30.9	49
31.3	97
31.5	100
33.6	41
34.5	26
35.9	27
49.8	23
55.6	26
60.0	31

Entry 7:
This entry pairs a crystal structure of Pr3Nd2Dy5 with its simulated powder X-ray diffraction pattern. Radiation: Cu Kα, 1.54184 Å. Structure: a structure optimized by DFT (PBE).
No peak broadening, texture or thermal motion is included.

abc: 9.8949 9.8949 9.3267
angles: 108.20 108.20 114.26
Fractional positions:
1 Pr 0.0229 0.2711 0.0459
2 Pr 0.2304 0.7696 0.7500
3 Pr 0.2711 0.0229 0.5459
4 Pr 0.7289 0.9771 0.4541
5 Pr 0.7696 0.2304 0.2500
6 Pr 0.9771 0.7289 0.9541
7 Nd 0.2325 0.4727 0.4568
8 Nd 0.4727 0.2325 0.9568
9 Nd 0.5273 0.7675 0.0432
10 Nd 0.7675 0.5273 0.5432
11 Dy 0.0262 0.9738 0.7500
12 Dy 0.1379 0.3687 0.7595
13 Dy 0.2740 0.7260 0.2500
14 Dy 0.3687 0.1379 0.2595
15 Dy 0.4712 0.5288 0.2500
16 Dy 0.5288 0.4712 0.7500
17 Dy 0.6313 0.8621 0.7405
18 Dy 0.7260 0.2740 0.7500
19 Dy 0.8621 0.6313 0.2405
20 Dy 0.9738 0.0262 0.2500

Peak list (10 most intense, 2θ from 10° to 90°, sorted by position)
2θ/deg	Rel. int.
29.6	100
30.7	95
31.8	20
33.4	44
36.5	18
48.6	20
57.3	16
60.2	21
63.5	22
67.7	21

Entry 8:
This entry pairs a crystal structure of Pr8Nd3Dy with its simulated powder X-ray diffraction pattern. Radiation: Cu Kα, 1.54184 Å. Structure: a structure optimized by DFT (PBE).
No peak broadening, texture or thermal motion is included.

abc: 8.6158 8.6158 8.6158
angles: 117.64 117.64 94.15
Fractional positions:
1 Pr 0.1278 0.1278 0.7521
2 Pr 0.2464 0.7422 0.0000
3 Pr 0.2578 0.2578 0.5042
4 Pr 0.3757 0.3757 0.2479
5 Pr 0.6243 0.8722 0.0000
6 Pr 0.7422 0.2464 0.0000
7 Pr 0.7536 0.7536 0.4958
8 Pr 0.8722 0.6243 0.0000
9 Nd 0.0000 0.0000 0.0000
10 Nd 0.2500 0.7500 0.5000
11 Nd 0.7500 0.2500 0.5000
12 Dy 0.5000 0.5000 0.0000

Peak list (10 most intense, 2θ from 10° to 90°, sorted by position)
2θ/deg	Rel. int.
23.6	59
25.1	50
28.3	79
30.5	72
32.2	28
35.3	100
42.1	54
43.4	48
54.7	29
67.4	33

Entry 9:
This entry pairs a crystal structure of Pr5Nd2Dy with its simulated powder X-ray diffraction pattern. Radiation: Cu Kα, 1.54184 Å. Structure: a structure optimized by DFT (PBE).
No peak broadening, texture or thermal motion is included.

abc: 7.3576 14.7517 5.2135
angles: 90.00 90.00 90.00
Fractional positions:
1 Pr 0.0000 0.0000 0.0000
2 Pr 0.0005 0.2516 0.0000
3 Pr 0.9995 0.7484 0.0000
4 Pr 0.2493 0.3762 0.5000
5 Pr 0.2507 0.8762 0.5000
6 Pr 0.5005 0.2484 0.0000
7 Pr 0.5000 0.5000 0.0000
8 Pr 0.4995 0.7516 0.0000
9 Pr 0.7493 0.1238 0.5000
10 Pr 0.7507 0.6238 0.5000
11 Nd 0.2489 0.6236 0.5000
12 Nd 0.2511 0.1236 0.5000
13 Nd 0.7489 0.8764 0.5000
14 Nd 0.7511 0.3764 0.5000
15 Dy 0.0000 0.5000 0.0000
16 Dy 0.5000 0.0000 0.0000

Peak list (10 most intense, 2θ from 10° to 90°, sorted by position)
2θ/deg	Rel. int.
29.7	100
34.4	51
49.5	30
49.6	6
58.8	43
61.6	6
61.7	6
80.3	9
80.3	6
82.8	14

Entry 10:
This entry pairs a crystal structure of Pr3Nd4Dy2 with its simulated powder X-ray diffraction pattern. Radiation: Cu Kα, 1.54184 Å. Structure: a structure optimized by DFT (PBE).
No peak broadening, texture or thermal motion is included.

abc: 6.3397 6.3397 15.0814
angles: 110.45 110.45 33.62
Fractional positions:
1 Pr 0.0000 0.0000 0.0000
2 Pr 0.1098 0.1098 0.4426
3 Pr 0.8902 0.8902 0.5574
4 Nd 0.2209 0.2209 0.8884
5 Nd 0.3306 0.3306 0.3310
6 Nd 0.6694 0.6694 0.6690
7 Nd 0.7791 0.7791 0.1116
8 Dy 0.4451 0.4451 0.7785
9 Dy 0.5549 0.5549 0.2215

Peak list (10 most intense, 2θ from 10° to 90°, sorted by position)
2θ/deg	Rel. int.
29.9	100
34.6	51
49.7	6
49.8	30
59.2	40
62.0	6
62.1	6
80.8	6
81.0	10
83.5	11

Entry 11:
This entry pairs a crystal structure of Pr5Nd12Dy2 with its simulated powder X-ray diffraction pattern. Radiation: Cu Kα, 1.54184 Å. Structure: a structure optimized by DFT (PBE).
No peak broadening, texture or thermal motion is included.

abc: 11.9095 11.9095 8.8759
angles: 109.38 109.38 35.34
Fractional positions:
1 Pr 0.0000 0.0000 0.0000
2 Pr 0.2482 0.2482 0.9890
3 Pr 0.3503 0.3503 0.4047
4 Pr 0.6497 0.6497 0.5953
5 Pr 0.7518 0.7518 0.0110
6 Nd 0.0522 0.5464 0.7065
7 Nd 0.1416 0.1416 0.5573
8 Nd 0.1512 0.6377 0.1170
9 Nd 0.3623 0.8488 0.8830
10 Nd 0.4517 0.4517 0.8044
11 Nd 0.4536 0.9478 0.2935
12 Nd 0.5464 0.0522 0.7065
13 Nd 0.5483 0.5483 0.1956
14 Nd 0.6377 0.1512 0.1170
15 Nd 0.8488 0.3623 0.8830
16 Nd 0.8584 0.8584 0.4427
17 Nd 0.9478 0.4536 0.2935
18 Dy 0.2576 0.7424 0.5000
19 Dy 0.7424 0.2576 0.5000

Peak list (10 most intense, 2θ from 10° to 90°, sorted by position)
2θ/deg	Rel. int.
29.7	100
30.3	35
30.7	40
33.1	36
35.8	47
49.3	17
49.7	19
57.0	14
60.2	12
61.7	24

Entry 12:
This entry pairs a crystal structure of PrNdDy2Sc with its simulated powder X-ray diffraction pattern. Radiation: Cu Kα, 1.54184 Å. Structure: a structure optimized by DFT (PBE).
No peak broadening, texture or thermal motion is included.

abc: 7.9024 5.0453 7.9385
angles: 90.00 90.24 90.00
Fractional positions:
1 Pr 0.2437 0.2500 0.2401
2 Pr 0.7563 0.7500 0.7599
3 Nd 0.4442 0.2500 0.6532
4 Nd 0.5558 0.7500 0.3468
5 Dy 0.1459 0.7500 0.5466
6 Dy 0.3390 0.7500 0.9473
7 Dy 0.6610 0.2500 0.0527
8 Dy 0.8541 0.2500 0.4534
9 Sc 0.0476 0.2500 0.8507
10 Sc 0.9524 0.7500 0.1493

Peak list (10 most intense, 2θ from 10° to 90°, sorted by position)
2θ/deg	Rel. int.
30.8	100
35.6	17
35.7	17
36.0	16
51.3	12
51.5	12
61.0	14
61.2	14
61.5	13
64.3	12